Record 1
Simulated powder diffractogram of Li2VO2F for Cu Kα X-rays, from a DFT-relaxed cell (GGA+U, the Materials Project).

Largest 10 diffraction maxima, in order of rising 2θ, 2θ from 10° to 90°:
| 2theta | intensity | (hkl) |
| --- | --- | --- |
| 12.02 | 1000 | 1 0 -1 |
| 24.17 | 301 | 2 0 -2 |
| 34.28 | 155 | 1 1 1 |
| 34.44 | 80 | 2 0 2 |
| 36.37 | 103 | 0 1 2 |
| 42.25 | 487 | 1 1 -3 |
| 42.79 | 220 | 4 0 0 |
| 61.29 | 120 | 0 2 0 |
| 61.60 | 121 | 3 1 3 |
| 61.81 | 112 | 5 1 -3 |

Structural model:
```
Li2VO2F
1.0
8.9651 0.0000 0.0000
0.0000 3.0253 0.0000
-3.0232 0.0000 8.5552
Li V O F
8 4 8 4
direct
0.0000 0.0000 0.0000
0.0052 0.0000 0.2653
0.2337 0.5000 0.2376
0.2619 0.5000 0.5380
0.5117 0.0000 0.4739
0.5192 0.0000 0.7948
0.7591 0.5000 0.7270
0.7910 0.5000 0.0576
0.0085 0.0000 0.6332
0.2584 0.5000 0.8668
0.5209 0.0000 0.1388
0.7641 0.5000 0.3882
0.0028 0.5000 0.4813
0.0154 0.5000 0.1349
0.0231 0.5000 0.7904
0.2582 0.0000 0.7227
0.4919 0.5000 0.9781
0.5192 0.5000 0.2914
0.7527 0.0000 0.2270
0.7651 0.0000 0.5449
0.2656 0.0000 0.0398
0.2742 0.0000 0.3943
0.5108 0.5000 0.6369
0.7511 0.0000 0.8776
```

Record 2
Simulated powder diffractogram of LiV2OF5 for Cu Kα X-rays, from a DFT-relaxed cell (GGA+U, the Materials Project).

Largest 10 diffraction maxima, in order of rising 2θ, 2θ from 10° to 90°:
| 2theta | intensity | (hkl) |
| --- | --- | --- |
| 23.27 | 477 | 1 1 -2 |
| 23.57 | 1000 | 1 0 3 |
| 32.37 | 100 | 1 -1 0 |
| 32.55 | 241 | 1 2 1 |
| 39.44 | 240 | 2 2 0 |
| 39.98 | 118 | 1 2 5 |
| 47.58 | 98 | 2 2 -4 |
| 48.22 | 192 | 2 0 6 |
| 52.69 | 274 | 2 3 -1 |
| 53.11 | 167 | 1 3 4 |

Structural model:
```
LiV2OF5
1.0
5.2477 0.0000 0.0000
2.5981 4.8697 0.0000
2.2936 0.6496 17.1248
Li V O F
4 8 4 20
direct
0.0000 0.0000 0.0000
0.0694 0.1698 0.6088
0.2211 0.2643 0.2546
0.3426 0.3877 0.8627
0.0898 0.9941 0.8155
0.1883 0.1213 0.4334
0.3745 0.2036 0.0679
0.4770 0.3386 0.6848
0.6024 0.4697 0.3191
0.7406 0.5762 0.9366
0.8208 0.7621 0.5667
0.9524 0.8573 0.1845
0.0213 0.2861 0.8769
0.7502 0.0087 0.0950
0.7592 0.0501 0.6279
0.9764 0.2685 0.3480
0.1880 0.0729 0.1649
0.1899 0.6416 0.7644
0.2125 0.6623 0.2701
0.2231 0.5260 0.6029
0.2241 0.1339 0.7154
0.2659 0.5448 0.1181
0.4090 0.9621 0.5335
0.4108 0.3324 0.4063
0.4125 0.8948 0.0017
0.4926 0.7645 0.8495
0.5020 0.8070 0.3713
0.5105 0.3576 0.9628
0.6378 0.1581 0.2521
0.6744 0.1851 0.7878
0.7008 0.5550 0.6550
0.7842 0.6086 0.2214
0.9161 0.4149 0.5118
0.9603 0.3946 0.0288
0.9678 0.8027 0.9135
0.9898 0.8914 0.4740
```